[1]
Simulated XRD peak list of FePt2Rh for CuKα, from DFT lattice parameters and positions (PBE).
Lines closer than 0.1° are merged.

Principal peaks in the range 10 to 80 degrees two-theta, sorted by position:
2θ = 23.02°, I = 32.2, hkl 0 1 0
2θ = 32.52°, I = 13.9, hkl 0 0 2
2θ = 32.75°, I = 13.7, hkl 1 0 0
2θ = 40.22°, I = 100.0, hkl 0 1 2
2θ = 40.41°, I = 98.8, hkl 1 1 0
2θ = 46.82°, I = 64.7, hkl 1 0 2
2θ = 47.04°, I = 32.0, hkl 0 2 0
2θ = 52.79°, I = 15.3, hkl 1 1 2
2θ = 68.10°, I = 10.4, hkl 0 0 4
2θ = 68.56°, I = 51.5, hkl 2 0 0

Structural model:
```
data_FePt2Rh
_chemical_formula_sum 'Fe1 Pt2 Rh1'
_cell_length_a 2.735
_cell_length_b 3.864
_cell_length_c 5.507
_cell_angle_alpha 90.00
_cell_angle_beta 90.00
_cell_angle_gamma 90.00
_symmetry_space_group_name_H-M 'P m m m'
_symmetry_Int_Tables_number 47
loop_
_symmetry_equiv_pos_as_xyz
'x,y,z'
'-x,-y,-z'
'-x,-y,z'
'x,y,-z'
'x,-y,-z'
'-x,y,z'
'-x,y,-z'
'x,-y,z'
loop_
_atom_site_label
_atom_site_type_symbol
_atom_site_fract_x
_atom_site_fract_y
_atom_site_fract_z
Fe1 Fe 0.000 0.000 0.000
Pt1 Pt 0.500 0.500 0.246
Rh1 Rh 0.000 0.000 0.500
```

[2]
Simulated XRD peak list of PmHoIrRu for CuKα, from DFT lattice parameters and positions (PBE).
Lines closer than 0.1° are merged.

Principal peaks in the range 10 to 80 degrees two-theta, sorted by position:
2θ = 12.87°, I = 3.8, hkl 0 0 1
2θ = 28.92°, I = 2.9, hkl 1 0 1
2θ = 36.85°, I = 100.0, hkl 1 1 0
2θ = 39.14°, I = 1.2, hkl 1 1 1
2θ = 53.02°, I = 11.8, hkl 2 0 0
2θ = 53.26°, I = 5.7, hkl 0 0 4
2θ = 66.33°, I = 23.9, hkl 2 1 2
2θ = 66.48°, I = 11.6, hkl 1 1 4
2θ = 78.29°, I = 3.8, hkl 2 2 0
2θ = 78.48°, I = 7.3, hkl 2 0 4

Structural model:
```
data_PmHoIrRu
_chemical_formula_sum 'Pm1 Ho1 Ir1 Ru1'
_cell_length_a 3.454
_cell_length_b 3.454
_cell_length_c 6.880
_cell_angle_alpha 90.00
_cell_angle_beta 90.00
_cell_angle_gamma 90.00
_symmetry_space_group_name_H-M 'P 4 m m'
_symmetry_Int_Tables_number 99
loop_
_symmetry_equiv_pos_as_xyz
'x,y,z'
'-y,x,z'
'-x,-y,z'
'y,-x,z'
'-x,y,z'
'y,x,z'
'x,-y,z'
'-y,-x,z'
loop_
_atom_site_label
_atom_site_type_symbol
_atom_site_fract_x
_atom_site_fract_y
_atom_site_fract_z
Pm1 Pm 0.000 0.000 0.000
Ho1 Ho 0.000 0.000 0.493
Ir1 Ir 0.500 0.500 0.736
Ru1 Ru 0.500 0.500 0.254
```

[3]
Simulated XRD peak list of NdDyCrN3 for CuKα, from DFT lattice parameters and positions (PBE).
Lines closer than 0.1° are merged.

Principal peaks in the range 10 to 80 degrees two-theta, sorted by position:
2θ = 12.18°, I = 52.6, hkl 1 0 0
2θ = 24.49°, I = 29.4, hkl 2 0 0
2θ = 28.78°, I = 77.9, hkl 1 1 0
2θ = 28.87°, I = 49.8, hkl 1 0 2
2θ = 31.86°, I = 60.0, hkl 2 0 -2
2θ = 35.82°, I = 100.0, hkl 0 1 2
2θ = 36.00°, I = 63.7, hkl 2 1 0
2θ = 36.67°, I = 45.7, hkl 1 1 -2
2θ = 37.11°, I = 42.7, hkl 3 0 0
2θ = 49.50°, I = 25.4, hkl 3 1 -2

Structural model:
```
data_NdDyCrN3
_chemical_formula_sum 'Nd2 Dy2 Cr2 N6'
_cell_length_a 7.356
_cell_length_b 3.431
_cell_length_c 7.435
_cell_angle_alpha 90.00
_cell_angle_beta 98.85
_cell_angle_gamma 90.00
_symmetry_space_group_name_H-M 'P 1 21/m 1'
_symmetry_Int_Tables_number 11
loop_
_symmetry_equiv_pos_as_xyz
'x,y,z'
'-x,-y,-z'
'-x,y+1/2,-z'
'x,-y+1/2,z'
loop_
_atom_site_label
_atom_site_type_symbol
_atom_site_fract_x
_atom_site_fract_y
_atom_site_fract_z
Nd1 Nd 0.182 0.250 0.179
Dy1 Dy 0.170 0.250 0.634
Cr1 Cr 0.403 0.750 0.918
N1 N 0.148 0.750 0.406
N2 N 0.154 0.750 0.878
N3 N 0.481 0.250 0.839
```

[4]
Simulated XRD peak list of Li2PuZrN4 for CuKα, from DFT lattice parameters and positions (PBE).
Lines closer than 0.1° are merged.

Principal peaks in the range 10 to 80 degrees two-theta, sorted by position:
2θ = 16.54°, I = 19.8, hkl 0 0 1
2θ = 17.42°, I = 100.0, hkl 1 0 0
2θ = 31.40°, I = 43.0, hkl 0 1 1
2θ = 32.32°, I = 19.8, hkl 1 0 -2
2θ = 33.28°, I = 30.2, hkl 1 1 -1
2θ = 33.44°, I = 14.9, hkl 0 0 2
2θ = 38.78°, I = 37.5, hkl 1 1 1
2θ = 40.18°, I = 16.8, hkl 2 0 -2
2θ = 43.39°, I = 16.3, hkl 2 1 -1
2θ = 52.14°, I = 13.7, hkl 2 1 1

Structural model:
```
data_Li2PuZrN4
_chemical_formula_sum 'Li2 Pu1 Zr1 N4'
_cell_length_a 5.383
_cell_length_b 3.364
_cell_length_c 5.665
_cell_angle_alpha 90.00
_cell_angle_beta 108.91
_cell_angle_gamma 90.00
_symmetry_space_group_name_H-M 'P 1 2/m 1'
_symmetry_Int_Tables_number 10
loop_
_symmetry_equiv_pos_as_xyz
'x,y,z'
'-x,-y,-z'
'-x,y,-z'
'x,-y,z'
loop_
_atom_site_label
_atom_site_type_symbol
_atom_site_fract_x
_atom_site_fract_y
_atom_site_fract_z
Li1 Li 0.000 0.000 0.000
Li2 Li 0.000 0.500 0.500
Pu1 Pu 0.500 0.000 0.500
Zr1 Zr 0.500 0.500 0.000
N1 N 0.283 0.500 0.271
N2 N 0.289 0.000 0.751
```

[5]
Simulated XRD peak list of Ac4Ti3AgO12 for CuKα, from DFT lattice parameters and positions (PBE).
Lines closer than 0.1° are merged.

Principal peaks in the range 10 to 80 degrees two-theta, sorted by position:
2θ = 21.71°, I = 30.2, hkl 2 0 0
2θ = 30.90°, I = 100.0, hkl 2 2 0
2θ = 38.08°, I = 22.5, hkl 2 2 2
2θ = 44.26°, I = 28.4, hkl 4 0 0
2θ = 49.81°, I = 16.2, hkl 4 2 0
2θ = 54.95°, I = 40.3, hkl 4 2 2
2θ = 64.38°, I = 17.6, hkl 4 4 0
2θ = 68.81°, I = 8.5, hkl 4 4 2
2θ = 73.11°, I = 17.9, hkl 6 2 0
2θ = 77.32°, I = 8.1, hkl 6 2 2

Structural model:
```
data_Ac4Ti3AgO12
_chemical_formula_sum 'Ac8 Ti6 Ag2 O24'
_cell_length_a 8.186
_cell_length_b 8.186
_cell_length_c 8.186
_cell_angle_alpha 90.00
_cell_angle_beta 90.00
_cell_angle_gamma 90.00
_symmetry_space_group_name_H-M 'I m -3 m'
_symmetry_Int_Tables_number 229
_symmetry_space_group_name_Hall '-I 4 2 3'
loop_
_atom_site_label
_atom_site_type_symbol
_atom_site_fract_x
_atom_site_fract_y
_atom_site_fract_z
Ac1 Ac 0.250 0.250 0.250
Ti1 Ti 0.000 0.000 0.500
Ag1 Ag 0.000 0.000 0.000
O1 O 0.000 0.000 0.272
O2 O 0.000 0.250 0.500
```

[6]
Simulated XRD peak list of Th4Co2Cu5 for CuKα, from DFT lattice parameters and positions (PBE).
Lines closer than 0.1° are merged.

Principal peaks in the range 10 to 80 degrees two-theta, sorted by position:
2θ = 23.93°, I = 48.6, hkl 1 0 -2
2θ = 25.53°, I = 29.0, hkl 1 0 2
2θ = 26.27°, I = 37.9, hkl 2 0 0
2θ = 33.77°, I = 100.0, hkl 1 1 -2
2θ = 34.96°, I = 93.9, hkl 1 1 2
2θ = 35.52°, I = 84.9, hkl 2 1 0
2θ = 37.66°, I = 22.9, hkl 2 1 1
2θ = 39.79°, I = 41.7, hkl 3 0 0
2θ = 40.56°, I = 31.2, hkl 3 0 -1
2θ = 48.03°, I = 36.1, hkl 0 2 0

Structural model:
```
data_Th4Co2Cu5
_chemical_formula_sum 'Th4 Co2 Cu5'
_cell_length_a 6.803
_cell_length_b 3.789
_cell_length_c 8.511
_cell_angle_alpha 90.00
_cell_angle_beta 94.06
_cell_angle_gamma 90.00
_symmetry_space_group_name_H-M 'P 1 2/m 1'
_symmetry_Int_Tables_number 10
loop_
_symmetry_equiv_pos_as_xyz
'x,y,z'
'-x,-y,-z'
'-x,y,-z'
'x,-y,z'
loop_
_atom_site_label
_atom_site_type_symbol
_atom_site_fract_x
_atom_site_fract_y
_atom_site_fract_z
Th1 Th 0.197 0.000 0.357
Th2 Th 0.243 0.000 0.921
Co1 Co 0.060 0.500 0.150
Cu1 Cu 0.190 0.500 0.641
Cu2 Cu 0.449 0.500 0.182
Cu3 Cu 0.500 0.500 0.500
```

[7]
Simulated XRD peak list of CaAcO4 for CuKα, from DFT lattice parameters and positions (PBE).
Lines closer than 0.1° are merged.

Principal peaks in the range 10 to 80 degrees two-theta, sorted by position:
2θ = 13.11°, I = 88.8, hkl 0 0 1
2θ = 24.86°, I = 42.3, hkl 1 1 0
2θ = 25.95°, I = 33.2, hkl 2 0 0
2θ = 26.40°, I = 31.6, hkl 0 0 2
2θ = 27.19°, I = 100.0, hkl 1 1 -1
2θ = 29.19°, I = 30.9, hkl 1 1 1
2θ = 31.05°, I = 22.9, hkl 2 0 1
2θ = 38.13°, I = 24.7, hkl 1 1 2
2θ = 45.23°, I = 28.4, hkl 3 1 -1
2θ = 45.79°, I = 21.1, hkl 1 1 -3

Structural model:
```
data_CaAcO4
_chemical_formula_sum 'Ca2 Ac2 O8'
_cell_length_a 6.959
_cell_length_b 4.198
_cell_length_c 6.840
_cell_angle_alpha 90.00
_cell_angle_beta 99.24
_cell_angle_gamma 90.00
_symmetry_space_group_name_H-M 'C 1 m 1'
_symmetry_Int_Tables_number 8
loop_
_symmetry_equiv_pos_as_xyz
'x,y,z'
'x,-y,z'
'x+1/2,y+1/2,z'
'x+1/2,-y+1/2,z'
loop_
_atom_site_label
_atom_site_type_symbol
_atom_site_fract_x
_atom_site_fract_y
_atom_site_fract_z
Ca1 Ca 0.000 0.000 0.000
Ac1 Ac 0.406 0.000 0.425
O1 O 0.053 0.000 0.350
O2 O 0.157 0.500 0.780
O3 O 0.295 0.500 0.655
O4 O 0.354 0.000 0.068
```